KAc2PbO5: simulated X-ray powder pattern (Cu Kα (weighted mean of Kα1 and Kα2)), based on a crystal structure in Alexandria, relaxed with PBE.

Principal peaks in the range 10° ≤ 2θ ≤ 90°, by angle:
hkl  Position (°2θ)  Rel. int.
1 1 0  17.27  38.7
0 0 2  27.01  42.8
2 0 1  28.05  100.0
2 1 1  30.68  57.6
2 1 2  38.91  42.3
3 1 1  41.65  37.2

Structural model:
```
data_KAc2PbO5
_cell_length_a 7.261
_cell_length_b 7.261
_cell_length_c 6.602
_cell_angle_alpha 90.00
_cell_angle_beta 90.00
_cell_angle_gamma 90.00
_space_group_name_H-M_alt 'P 4/m b m'
_space_group_IT_number 127
_space_group_name_Hall '-P 4 2ab'
loop_
_atom_site_label
_atom_site_type_symbol
_atom_site_fract_x
_atom_site_fract_y
_atom_site_fract_z
K1 K 0.000 0.000 0.000
Ac1 Ac 0.179 0.321 0.500
Pb1 Pb 0.000 0.500 0.000
O1 O 0.000 0.000 0.500
O2 O 0.142 0.642 0.260
```